Entry 1:
For Sm4TmAu2, a DFT-relaxed cell (GGA-PBE, Alexandria) gives the simulated powder diffractogram in this record (λ = 1.5418 Å (Cu Kα)).
Lines closer than 0.1° are merged.

Most intense lines, 2θ = 15–90°, by angle:
Position (°2θ)  I/Imax
19.35  29
23.52  13
33.29  100
33.72  35
39.83  20
46.20  23
48.12  13
59.50  19
59.77  13
69.91  12

Atomic structure:
Cell lengths 9.1710, 9.1710, 9.1710 Å; angles 34.13, 34.13, 34.13 degrees
Positions (direct):
1 Sm 0.1243 0.1243 0.1243
2 Sm 0.2813 0.2813 0.2813
3 Sm 0.7187 0.7187 0.7187
4 Sm 0.8757 0.8757 0.8757
5 Tm 0.5000 0.5000 0.5000
6 Au 0.3940 0.3940 0.3940
7 Au 0.6060 0.6060 0.6060

---

Entry 2:
For Sm3Zn6Au5, a DFT-relaxed cell (GGA-PBE, Alexandria) gives the simulated powder diffractogram in this record (λ = 1.5418 Å (Cu Kα)).
Lines closer than 0.1° are merged.

Most intense lines, 2θ = 15–90°, by angle:
Position (°2θ)  I/Imax
28.79  100
33.28  48
34.48  54
34.69  71
34.93  46
35.47  43
37.42  59
40.76  73
43.61  45
67.15  39

Atomic structure:
Cell lengths 8.3790, 8.3790, 8.3790 Å; angles 149.36, 110.47, 77.87 degrees
Positions (direct):
1 Sm 0.0000 0.0000 0.0000
2 Sm 0.2910 0.2910 0.0000
3 Sm 0.7090 0.7090 0.0000
4 Zn 0.1538 0.8631 0.2906
5 Zn 0.3274 0.5000 0.8274
6 Zn 0.4275 0.1369 0.2906
7 Zn 0.5725 0.8631 0.7094
8 Zn 0.6726 0.5000 0.1726
9 Zn 0.8462 0.1369 0.7094
10 Au 0.0077 0.6545 0.3532
11 Au 0.3013 0.6545 0.6468
12 Au 0.5000 0.0000 0.5000
13 Au 0.6987 0.3455 0.3532
14 Au 0.9923 0.3455 0.6468

---

Entry 3:
For Sm3Zn8Au, a DFT-relaxed cell (GGA-PBE, Alexandria) gives the simulated powder diffractogram in this record (λ = 1.5418 Å (Cu Kα)).
Lines closer than 0.1° are merged.

Most intense lines, 2θ = 15–90°, by angle:
Position (°2θ)  I/Imax
32.76  38
32.94  40
38.59  33
38.78  100
40.60  18
58.71  14
62.61  15
62.72  16
68.67  14
69.09  16

Atomic structure:
Cell lengths 9.4863, 9.4863, 9.4863 Å; angles 33.31, 33.31, 33.31 degrees
Positions (direct):
1 Sm 0.0000 0.0000 0.0000
2 Sm 0.1273 0.1273 0.1273
3 Sm 0.5134 0.5134 0.5134
4 Zn 0.0665 0.0665 0.5689
5 Zn 0.0665 0.5689 0.0665
6 Zn 0.0690 0.5653 0.5653
7 Zn 0.3166 0.3166 0.3166
8 Zn 0.5653 0.0690 0.5653
9 Zn 0.5653 0.5653 0.0690
10 Zn 0.5689 0.0665 0.0665
11 Zn 0.8169 0.8169 0.8169
12 Au 0.6341 0.6341 0.6341